Calculated powder diffraction line list of CeScCo10 for Cu Ka, from a structure optimized by DFT (GGA-PBE).
Lines closer than 0.1° are merged.

Atomic structure:
```
data_CeScCo10
_cell_length_a 3.983
_cell_length_b 4.832
_cell_length_c 8.367
_cell_angle_alpha 90.00
_cell_angle_beta 90.00
_cell_angle_gamma 90.00
_symmetry_space_group_name_H-M 'P m m m'
_symmetry_Int_Tables_number 47
loop_
_symmetry_equiv_pos_as_xyz
'x,y,z'
'-x,-y,-z'
'-x,-y,z'
'x,y,-z'
'x,-y,-z'
'-x,y,z'
'-x,y,-z'
'x,-y,z'
loop_
_atom_site_label
_atom_site_type_symbol
_atom_site_fract_x
_atom_site_fract_y
_atom_site_fract_z
Ce1 Ce 0.000 0.000 0.000
Sc1 Sc 0.000 0.500 0.500
Co1 Co 0.000 0.000 0.329
Co2 Co 0.000 0.500 0.172
Co3 Co 0.500 0.000 0.500
Co4 Co 0.500 0.259 0.260
Co5 Co 0.500 0.500 0.000
```

The 10 most intense peaks (10° ≤ 2θ ≤ 80°), in order of rising 2θ:
d/Å  intensity  index
2.885  29  1 1 1
2.416  24  0 2 0
2.092  31  0 0 4
2.066  100  1 1 3
1.992  31  2 0 0
1.852  21  1 2 2
1.537  11  2 2 0
1.442  17  2 0 4
1.316  20  1 3 3
1.208  15  0 4 0

Calculated powder diffraction line list of CsCaTeSe for Cu Ka, from a structure optimized by DFT (GGA-PBE).
Lines closer than 0.1° are merged.

Atomic structure:
```
data_CsCaTeSe
_cell_length_a 8.352
_cell_length_b 3.784
_cell_length_c 9.695
_cell_angle_alpha 90.00
_cell_angle_beta 108.88
_cell_angle_gamma 90.00
_symmetry_space_group_name_H-M 'C 1 m 1'
_symmetry_Int_Tables_number 8
loop_
_symmetry_equiv_pos_as_xyz
'x,y,z'
'x,-y,z'
'x+1/2,y+1/2,z'
'x+1/2,-y+1/2,z'
loop_
_atom_site_label
_atom_site_type_symbol
_atom_site_fract_x
_atom_site_fract_y
_atom_site_fract_z
Cs1 Cs 0.000 0.000 0.000
Ca1 Ca 0.284 0.500 0.450
Te1 Te 0.174 0.000 0.681
Se1 Se 0.409 0.000 0.279
```

The 10 most intense peaks (10° ≤ 2θ ≤ 80°), in order of rising 2θ:
d/Å  intensity  index
3.631  42  2 0 -2
3.413  39  1 1 0
3.265  82  2 0 1
3.060  86  0 0 3
2.942  100  1 1 -2
2.918  24  2 0 -3
2.241  50  3 1 -1
2.134  32  1 1 3
1.637  21  2 2 1
1.459  18  5 1 0

Calculated powder diffraction line list of Dy4Tm4Pb7 for Cu Ka, from a structure optimized by DFT (GGA-PBE).
Lines closer than 0.1° are merged.

Atomic structure:
```
data_Dy4Tm4Pb7
_cell_length_a 16.268
_cell_length_b 16.268
_cell_length_c 6.651
_cell_angle_alpha 90.00
_cell_angle_beta 90.00
_cell_angle_gamma 90.00
_symmetry_space_group_name_H-M 'I 4/m m m'
_symmetry_Int_Tables_number 139
_symmetry_space_group_name_Hall '-I 4 2'
loop_
_atom_site_label
_atom_site_type_symbol
_atom_site_fract_x
_atom_site_fract_y
_atom_site_fract_z
Dy1 Dy 0.000 0.185 0.000
Dy2 Dy 0.126 0.126 0.500
Tm1 Tm 0.153 0.347 0.250
Pb1 Pb 0.000 0.000 0.246
Pb2 Pb 0.000 0.270 0.500
Pb3 Pb 0.000 0.402 0.000
Pb4 Pb 0.191 0.191 0.000
```

The 10 most intense peaks (10° ≤ 2θ ≤ 80°), in order of rising 2θ:
d/Å  intensity  index
2.923  100  5 0 1
2.877  26  4 4 0
2.793  70  3 1 2
2.711  30  6 0 0
2.573  20  6 2 0
2.512  19  3 3 2
2.454  18  4 2 2
1.988  18  6 5 1
1.832  27  5 0 3
1.662  20  0 0 4

Calculated powder diffraction line list of Er10Tm4Th for Cu Ka, from a structure optimized by DFT (GGA-PBE).
Lines closer than 0.1° are merged.

Atomic structure:
```
data_Er10Tm4Th
_cell_length_a 9.682
_cell_length_b 9.682
_cell_length_c 10.241
_cell_angle_alpha 90.00
_cell_angle_beta 90.00
_cell_angle_gamma 90.00
_symmetry_space_group_name_H-M 'I 4/m'
_symmetry_Int_Tables_number 87
_symmetry_space_group_name_Hall '-I 4'
loop_
_atom_site_label
_atom_site_type_symbol
_atom_site_fract_x
_atom_site_fract_y
_atom_site_fract_z
Er1 Er 0.000 0.500 0.250
Er2 Er 0.112 0.213 0.162
Tm1 Tm 0.073 0.335 0.500
Th1 Th 0.000 0.000 0.500
```

The 10 most intense peaks (10° ≤ 2θ ≤ 80°), in order of rising 2θ:
d/Å  intensity  index
3.219  83  1 0 3
3.078  76  3 0 1
3.062  100  3 1 0
2.681  84  2 1 3
2.628  97  3 1 2
2.598  51  3 2 1
2.165  34  2 4 0
2.111  30  2 3 3
1.994  35  2 4 2
1.491  25  1 3 6

Calculated powder diffraction line list of Na5Tl2Hg2Au for Cu Ka, from a structure optimized by DFT (GGA-PBE).
Lines closer than 0.1° are merged.

Atomic structure:
```
data_Na5Tl2Hg2Au
_cell_length_a 12.426
_cell_length_b 12.426
_cell_length_c 3.584
_cell_angle_alpha 90.00
_cell_angle_beta 90.00
_cell_angle_gamma 90.00
_symmetry_space_group_name_H-M 'P 4/m b m'
_symmetry_Int_Tables_number 127
_symmetry_space_group_name_Hall '-P 4 2ab'
loop_
_atom_site_label
_atom_site_type_symbol
_atom_site_fract_x
_atom_site_fract_y
_atom_site_fract_z
Na1 Na 0.000 0.500 0.000
Na2 Na 0.017 0.193 0.000
Tl1 Tl 0.175 0.675 0.500
Hg1 Hg 0.151 0.349 0.500
Au1 Au 0.000 0.000 0.500
```

The 10 most intense peaks (10° ≤ 2θ ≤ 80°), in order of rising 2θ:
d/Å  intensity  index
3.929  96  3 1 0
3.584  49  0 0 1
2.929  34  3 3 0
2.778  43  2 2 1
2.648  100  3 1 1
2.196  29  4 4 0
2.071  29  6 0 0
1.793  37  0 0 2
1.631  25  3 1 2
1.355  24  6 0 2

Calculated powder diffraction line list of BC2 for Cu Ka, from a structure optimized by DFT (GGA-PBE).
Lines closer than 0.1° are merged.

Atomic structure:
```
data_BC2
_cell_length_a 2.6207
_cell_length_b 2.6207
_cell_length_c 14.3169
_cell_angle_alpha 90.00
_cell_angle_beta 90.00
_cell_angle_gamma 120.00
_symmetry_space_group_name_H-M 'P 3 m 1'
_symmetry_Int_Tables_number 156
loop_
_symmetry_equiv_pos_as_xyz
'x,y,z'
'-y,x-y,z'
'-x+y,-x,z'
'-y,-x,z'
'-x+y,y,z'
'x,x-y,z'
loop_
_atom_site_label
_atom_site_type_symbol
_atom_site_fract_x
_atom_site_fract_y
_atom_site_fract_z
B1 B 0.0000 0.0000 0.0000
B2 B 0.0000 0.0000 0.2410
B3 B 0.0000 0.0000 0.6808
B4 B 0.6667 0.3333 0.5219
C1 C 0.0000 0.0000 0.5713
C2 C 0.3333 0.6667 0.2554
C3 C 0.3333 0.6667 0.3740
C4 C 0.3333 0.6667 0.7294
C5 C 0.3333 0.6667 0.8340
C6 C 0.6667 0.3333 0.4082
C7 C 0.6667 0.3333 0.8714
C8 C 0.6667 0.3333 0.9850
```

The 10 most intense peaks (10° ≤ 2θ ≤ 80°), in order of rising 2θ:
d/Å  intensity  index
7.158  100  0 0 2
4.772  21  0 0 3
3.579  7  0 0 4
2.863  8  0 0 5
2.386  13  0 0 6
2.163  92  0 1 2
2.047  33  0 0 7
1.405  5  0 1 8
1.310  28  1 1 0
1.303  20  0 1 9

Calculated powder diffraction line list of ThSnRu for Cu Ka, from a structure optimized by DFT (GGA-PBE).
Lines closer than 0.1° are merged.

Atomic structure:
```
data_ThSnRu
_cell_length_a 13.168
_cell_length_b 4.036
_cell_length_c 7.764
_cell_angle_alpha 90.00
_cell_angle_beta 90.00
_cell_angle_gamma 90.00
_symmetry_space_group_name_H-M 'P m m a'
_symmetry_Int_Tables_number 51
loop_
_symmetry_equiv_pos_as_xyz
'x,y,z'
'-x,-y,-z'
'-x+1/2,-y,z'
'x+1/2,y,-z'
'x+1/2,-y,-z'
'-x+1/2,y,z'
'-x,y,-z'
'x,-y,z'
loop_
_atom_site_label
_atom_site_type_symbol
_atom_site_fract_x
_atom_site_fract_y
_atom_site_fract_z
Th1 Th 0.045 0.000 0.222
Th2 Th 0.250 0.000 0.851
Sn1 Sn 0.122 0.500 0.563
Sn2 Sn 0.250 0.500 0.196
Ru1 Ru 0.104 0.500 0.924
Ru2 Ru 0.250 0.000 0.440
```

The 10 most intense peaks (10° ≤ 2θ ≤ 80°), in order of rising 2θ:
d/Å  intensity  index
2.798  34  0 1 2
2.775  100  3 1 1
2.737  20  1 1 2
2.575  37  2 1 2
2.551  49  4 1 0
2.511  20  4 0 2
2.359  29  3 1 2
2.229  18  3 0 3
2.018  33  0 2 0
1.424  16  7 1 3

Calculated powder diffraction line list of PuHf7In3 for Cu Ka, from a structure optimized by DFT (GGA-PBE).
Lines closer than 0.1° are merged.

Atomic structure:
```
data_PuHf7In3
_cell_length_a 5.162
_cell_length_b 9.940
_cell_length_c 10.166
_cell_angle_alpha 90.00
_cell_angle_beta 90.00
_cell_angle_gamma 90.00
_symmetry_space_group_name_H-M 'I m m m'
_symmetry_Int_Tables_number 71
_symmetry_space_group_name_Hall '-I 2 2'
loop_
_atom_site_label
_atom_site_type_symbol
_atom_site_fract_x
_atom_site_fract_y
_atom_site_fract_z
Pu1 Pu 0.000 0.000 0.000
Hf1 Hf 0.000 0.216 0.306
Hf2 Hf 0.000 0.296 0.000
Hf3 Hf 0.000 0.500 0.500
In1 In 0.000 0.000 0.500
In2 In 0.000 0.500 0.215
```

The 10 most intense peaks (10° ≤ 2θ ≤ 80°), in order of rising 2θ:
d/Å  intensity  index
3.554  31  0 2 2
3.150  38  0 3 1
2.833  38  1 0 3
2.581  85  2 0 0
2.541  33  0 0 4
2.485  43  0 4 0
2.461  100  1 2 3
2.445  85  1 3 2
1.790  33  2 4 0
1.463  32  3 3 2